Entry 1:
Diffraction record for Sm5Sb2Se2. The PXRD pattern is theoretical, not measured: it uses a structure optimized by DFT (PBE) and Cu Kα, 1.54184 Å.
Intensities are scaled so that the largest is 100.

Atomic structure:
```
data_Sm5Sb2Se2
_chemical_formula_sum 'Sm20 Sb8 Se8'
_symmetry_space_group_name_H-M 'C m c e'
_symmetry_Int_Tables_number 64
_symmetry_space_group_name_Hall '-C 2ac 2'
_cell_length_a 15.182
_cell_length_b 8.025
_cell_length_c 8.124
_cell_angle_alpha 90.00
_cell_angle_beta 90.00
_cell_angle_gamma 90.00
loop_
_atom_site_label
_atom_site_fract_x
_atom_site_fract_y
_atom_site_fract_z
Sm1 0.000 0.000 0.000
Sm2 0.142 0.162 0.346
Sb1 0.000 0.142 0.643
Se1 0.195 0.000 0.000
```

Most intense lines, 2θ = 15–90°, in order of falling intensity:
2θ 30.33, rel. 100, hkl 3 1 2; 2θ 35.48, rel. 80, hkl 6 0 0; 2θ 34.35, rel. 66, hkl 4 2 1; 2θ 35.84, rel. 52, hkl 1 3 1; 2θ 65.19, rel. 30, hkl 7 3 3; 2θ 27.44, rel. 27, hkl 2 2 1; 2θ 66.86, rel. 23, hkl 4 2 5; 2θ 31.34, rel. 21, hkl 0 2 2; 2θ 32.47, rel. 15, hkl 4 2 0; 2θ 46.62, rel. 15, hkl 5 3 1

Entry 2:
Diffraction record for Sm3Sb2Se2. The PXRD pattern is theoretical, not measured: it uses a structure optimized by DFT (PBE) and Cu Kα, 1.54184 Å.
Intensities are scaled so that the largest is 100.

Atomic structure:
```
data_Sm3Sb2Se2
_chemical_formula_sum 'Sm6 Sb4 Se4'
_symmetry_space_group_name_H-M 'C 1 2/m 1'
_symmetry_Int_Tables_number 12
_symmetry_space_group_name_Hall '-C 2y'
_cell_length_a 13.181
_cell_length_b 4.240
_cell_length_c 8.549
_cell_angle_alpha 90.00
_cell_angle_beta 119.17
_cell_angle_gamma 90.00
loop_
_atom_site_label
_atom_site_fract_x
_atom_site_fract_y
_atom_site_fract_z
Sm1 0.000 0.000 0.000
Sm2 0.150 0.500 0.728
Sb1 0.071 0.000 0.406
Se1 0.170 0.500 0.090
```

Most intense lines, 2θ = 15–90°, in order of falling intensity:
2θ 31.45, rel. 100, hkl 2 0 -3; 2θ 35.65, rel. 45, hkl 1 1 2; 2θ 42.61, rel. 37, hkl 0 2 0; 2θ 29.28, rel. 31, hkl 3 1 -1; 2θ 43.95, rel. 30, hkl 5 1 -3; 2θ 27.11, rel. 19, hkl 1 1 1; 2θ 27.25, rel. 17, hkl 4 0 -1; 2θ 53.94, rel. 17, hkl 2 2 -3; 2θ 21.13, rel. 16, hkl 2 0 -2; 2θ 38.51, rel. 14, hkl 3 1 -3

Which formula does entry 1 have?
Sm5Sb2Se2

What is the formula in the second record?
Sm3Sb2Se2

What is the formula in the first record?
Sm5Sb2Se2